1.
For Sr2TmTaO6, a DFT-relaxed cell (PBE, the Materials Project) gives the computed X-ray powder pattern in this record (Cu Kα X-rays).
Peak positions follow from Bragg's law for the DFT cell and can differ from measured ones.

Cell and atoms:
```
Sr2TmTaO6
1.0
5.827 0.000 0.000
0.000 5.891 0.000
-5.802 0.000 8.266
Sr Tm Ta O
4 2 2 12
Direct
0.242 0.033 0.250
0.242 0.467 0.750
0.758 0.533 0.250
0.758 0.967 0.750
0.500 0.000 0.000
0.500 0.500 0.500
0.000 0.000 0.500
0.000 0.500 0.000
0.158 0.227 0.958
0.158 0.273 0.458
0.233 0.703 0.961
0.233 0.797 0.461
0.314 0.021 0.737
0.314 0.479 0.237
0.686 0.521 0.763
0.686 0.979 0.263
0.767 0.203 0.539
0.767 0.297 0.039
0.842 0.727 0.542
0.842 0.773 0.042
```

Peak list (10 most intense, 5° ≤ 2θ ≤ 70°, in order of rising 2θ)
21.5°, I = 30, (1 1 -1); 30.3°, I = 25, (0 2 0); 30.6°, I = 100, (1 1 -3); 30.7°, I = 24, (2 0 -2); 43.7°, I = 26, (2 2 -2); 43.8°, I = 13, (0 0 4); 54.0°, I = 19, (1 3 -3); 54.2°, I = 11, (0 2 4); 54.4°, I = 17, (2 0 2); 54.5°, I = 17, (3 1 -5)



2.
For K2Na3InO4, a DFT-relaxed cell (PBE, the Materials Project) gives the computed X-ray powder pattern in this record (Cu Kα X-rays).
Peak positions follow from Bragg's law for the DFT cell and can differ from measured ones.

Cell and atoms:
```
K2Na3InO4
1.0
9.382 0.000 0.000
0.000 9.658 0.000
0.000 0.000 7.640
K Na In O
8 12 4 16
Direct
0.000 0.000 0.246
0.000 0.000 0.754
0.231 0.236 0.500
0.269 0.736 0.000
0.500 0.500 0.254
0.500 0.500 0.746
0.731 0.264 0.000
0.769 0.764 0.500
0.018 0.650 0.248
0.018 0.650 0.752
0.237 0.574 0.500
0.263 0.074 0.000
0.482 0.150 0.252
0.482 0.150 0.748
0.518 0.850 0.252
0.518 0.850 0.748
0.737 0.926 0.000
0.763 0.426 0.500
0.982 0.350 0.248
0.982 0.350 0.752
0.228 0.371 0.000
0.272 0.871 0.500
0.728 0.129 0.500
0.772 0.629 0.000
0.059 0.221 0.000
0.069 0.776 0.500
0.199 0.482 0.233
0.199 0.482 0.767
0.301 0.982 0.267
0.301 0.982 0.733
0.431 0.276 0.000
0.441 0.721 0.500
0.559 0.279 0.500
0.569 0.724 0.000
0.699 0.018 0.267
0.699 0.018 0.733
0.801 0.518 0.233
0.801 0.518 0.767
0.931 0.224 0.500
0.941 0.779 0.000
```

Peak list (10 most intense, 5° ≤ 2θ ≤ 70°, in order of rising 2θ)
14.8°, I = 50, (0 1 1); 17.6°, I = 73, (1 1 1); 20.7°, I = 45, (1 2 0); 29.8°, I = 34, (0 2 2); 30.1°, I = 37, (0 3 1); 30.2°, I = 100, (2 0 2); 31.6°, I = 68, (1 3 1); 38.4°, I = 35, (4 0 0); 42.0°, I = 41, (3 3 1); 47.6°, I = 32, (0 0 4)



3.
For LuFe5P3, a DFT-relaxed cell (PBE, the Materials Project) gives the computed X-ray powder pattern in this record (Cu Kα X-rays).
Peak positions follow from Bragg's law for the DFT cell and can differ from measured ones.

Cell and atoms:
```
LuFe5P3
1.0
11.748 0.000 0.000
0.000 3.631 0.000
0.000 0.000 10.215
Lu Fe P
4 20 12
Direct
0.205 0.250 0.082
0.295 0.750 0.582
0.705 0.250 0.418
0.795 0.750 0.918
0.010 0.750 0.094
0.013 0.750 0.708
0.067 0.750 0.463
0.177 0.250 0.781
0.200 0.250 0.377
0.300 0.750 0.877
0.323 0.750 0.281
0.433 0.250 0.963
0.487 0.250 0.208
0.490 0.250 0.594
0.510 0.750 0.406
0.513 0.750 0.792
0.567 0.750 0.037
0.677 0.250 0.719
0.700 0.250 0.123
0.800 0.750 0.623
0.823 0.750 0.219
0.933 0.250 0.537
0.987 0.250 0.292
0.990 0.250 0.906
0.106 0.750 0.900
0.114 0.250 0.579
0.129 0.750 0.265
0.371 0.250 0.765
0.386 0.750 0.079
0.394 0.250 0.400
0.606 0.750 0.600
0.614 0.250 0.921
0.629 0.750 0.235
0.871 0.250 0.735
0.886 0.750 0.421
0.894 0.250 0.100
```

Peak list (10 most intense, 5° ≤ 2θ ≤ 70°, in order of rising 2θ)
27.1°, I = 23, (1 1 1); 30.4°, I = 13, (2 0 3); 36.0°, I = 16, (1 0 4); 36.2°, I = 12, (0 1 3); 38.1°, I = 18, (3 1 2); 39.4°, I = 100, (2 1 3); 39.5°, I = 52, (4 1 0); 40.5°, I = 24, (4 0 3); 50.3°, I = 29, (0 2 0); 54.0°, I = 21, (6 0 3)



4.
For Ho2TiGe2, a DFT-relaxed cell (PBE, the Materials Project) gives the computed X-ray powder pattern in this record (Cu Kα X-rays).
Peak positions follow from Bragg's law for the DFT cell and can differ from measured ones.

Cell and atoms:
```
Ho2TiGe2
1.0
3.001 0.000 0.000
0.000 3.001 0.000
0.000 0.000 14.281
Ho Ti Ge
2 1 2
Direct
0.000 0.000 0.122
0.000 0.000 0.878
0.000 0.000 0.500
0.000 0.000 0.323
0.000 0.000 0.677
```

Peak list (10 most intense, 5° ≤ 2θ ≤ 70°, in order of rising 2θ)
6.2°, I = 76, (0 0 1); 24.9°, I = 28, (0 0 4); 29.8°, I = 100, (1 0 0); 31.3°, I = 27, (0 0 5); 39.2°, I = 35, (1 0 4); 42.6°, I = 37, (1 1 0); 43.8°, I = 42, (1 0 5); 50.0°, I = 18, (1 1 4); 53.8°, I = 23, (1 1 5); 61.8°, I = 12, (2 0 0)



Please write out number 3 again, unchanged.
For LuFe5P3, a DFT-relaxed cell (PBE, the Materials Project) gives the computed X-ray powder pattern in this record (Cu Kα X-rays).
Peak positions follow from Bragg's law for the DFT cell and can differ from measured ones.

Cell and atoms:
```
LuFe5P3
1.0
11.748 0.000 0.000
0.000 3.631 0.000
0.000 0.000 10.215
Lu Fe P
4 20 12
Direct
0.205 0.250 0.082
0.295 0.750 0.582
0.705 0.250 0.418
0.795 0.750 0.918
0.010 0.750 0.094
0.013 0.750 0.708
0.067 0.750 0.463
0.177 0.250 0.781
0.200 0.250 0.377
0.300 0.750 0.877
0.323 0.750 0.281
0.433 0.250 0.963
0.487 0.250 0.208
0.490 0.250 0.594
0.510 0.750 0.406
0.513 0.750 0.792
0.567 0.750 0.037
0.677 0.250 0.719
0.700 0.250 0.123
0.800 0.750 0.623
0.823 0.750 0.219
0.933 0.250 0.537
0.987 0.250 0.292
0.990 0.250 0.906
0.106 0.750 0.900
0.114 0.250 0.579
0.129 0.750 0.265
0.371 0.250 0.765
0.386 0.750 0.079
0.394 0.250 0.400
0.606 0.750 0.600
0.614 0.250 0.921
0.629 0.750 0.235
0.871 0.250 0.735
0.886 0.750 0.421
0.894 0.250 0.100
```

Peak list (10 most intense, 5° ≤ 2θ ≤ 70°, in order of rising 2θ)
27.1°, I = 23, (1 1 1); 30.4°, I = 13, (2 0 3); 36.0°, I = 16, (1 0 4); 36.2°, I = 12, (0 1 3); 38.1°, I = 18, (3 1 2); 39.4°, I = 100, (2 1 3); 39.5°, I = 52, (4 1 0); 40.5°, I = 24, (4 0 3); 50.3°, I = 29, (0 2 0); 54.0°, I = 21, (6 0 3)



Copy entry 4 word for word.
For Ho2TiGe2, a DFT-relaxed cell (PBE, the Materials Project) gives the computed X-ray powder pattern in this record (Cu Kα X-rays).
Peak positions follow from Bragg's law for the DFT cell and can differ from measured ones.

Cell and atoms:
```
Ho2TiGe2
1.0
3.001 0.000 0.000
0.000 3.001 0.000
0.000 0.000 14.281
Ho Ti Ge
2 1 2
Direct
0.000 0.000 0.122
0.000 0.000 0.878
0.000 0.000 0.500
0.000 0.000 0.323
0.000 0.000 0.677
```

Peak list (10 most intense, 5° ≤ 2θ ≤ 70°, in order of rising 2θ)
6.2°, I = 76, (0 0 1); 24.9°, I = 28, (0 0 4); 29.8°, I = 100, (1 0 0); 31.3°, I = 27, (0 0 5); 39.2°, I = 35, (1 0 4); 42.6°, I = 37, (1 1 0); 43.8°, I = 42, (1 0 5); 50.0°, I = 18, (1 1 4); 53.8°, I = 23, (1 1 5); 61.8°, I = 12, (2 0 0)



What is the formula in the first record? Sr2TmTaO6